For Rb2TbCu2Te4, a cell relaxed with GGA-PBE gives the computed X-ray diffraction stick pattern in this record (copper Kα).

Cell and atoms:
```
data_Rb2TbCu2Te4
_chemical_formula_sum 'Rb2 Tb1 Cu2 Te4'
_cell_length_a 8.300
_cell_length_b 8.300
_cell_length_c 8.844
_cell_angle_alpha 107.70
_cell_angle_beta 107.70
_cell_angle_gamma 30.02
_space_group_name_H-M_alt 'P 1'
_space_group_IT_number 1
loop_
_space_group_symop_operation_xyz
'x,y,z'
loop_
_atom_site_label
_atom_site_type_symbol
_atom_site_fract_x
_atom_site_fract_y
_atom_site_fract_z
Rb1 Rb 0.132 0.132 0.052
Rb2 Rb 0.868 0.868 0.948
Tb1 Tb 0.000 0.000 0.500
Cu1 Cu 0.318 0.318 0.513
Cu2 Cu 0.682 0.682 0.487
Te1 Te 0.202 0.202 0.673
Te2 Te 0.476 0.476 0.732
Te3 Te 0.524 0.524 0.268
Te4 Te 0.798 0.798 0.327
```

Most intense lines, 2θ from 5° to 70°, in order of falling intensity:
d [Å]  Rel. int.
3.081  100
8.395  81
3.116  51
2.885  38
2.150  37
1.942  37
3.285  32
2.362  31